Structure and theoretical powder XRD pattern of Ga4Cu (a PBE-relaxed structure; CuKα).
Peak positions follow from Bragg's law for the DFT cell and can differ from measured ones.

Principal peaks in the range 10 to 90 degrees two-theta, most intense first:
- 2θ 39.25, d = 2.295 Å, rel. 100.0
- 2θ 39.40, d = 2.287 Å, rel. 97.0
- 2θ 42.72, d = 2.117 Å, rel. 79.3
- 2θ 34.71, d = 2.584 Å, rel. 74.0
- 2θ 35.76, d = 2.511 Å, rel. 66.7
- 2θ 36.08, d = 2.489 Å, rel. 64.7
- 2θ 47.61, d = 1.910 Å, rel. 59.4
- 2θ 73.22, d = 1.293 Å, rel. 46.1
- 2θ 46.45, d = 1.955 Å, rel. 37.3
- 2θ 34.25, d = 2.618 Å, rel. 37.2
- 2θ 52.43, d = 1.745 Å, rel. 33.5
- 2θ 46.98, d = 1.934 Å, rel. 33.4

Structure:
a = 6.8839 Å, b = 6.8839 Å, c = 5.1686 Å
α = 111.76°, β = 111.76°, γ = 110.94°
Fractional positions:
Ga (0.0635, 0.2475, 0.1591)
Ga (0.1328, 0.4766, 0.8061)
Ga (0.2475, 0.0635, 0.6591)
Ga (0.4766, 0.1328, 0.3061)
Ga (0.5234, 0.8672, 0.6939)
Ga (0.7525, 0.9365, 0.3409)
Ga (0.8672, 0.5234, 0.1939)
Ga (0.9365, 0.7525, 0.8409)
Cu (0.4999, 0.5001, 0.2500)
Cu (0.5001, 0.4999, 0.7500)


Structure and theoretical powder XRD pattern of SrB4 (a PBE-relaxed structure; CuKα).
Peak positions follow from Bragg's law for the DFT cell and can differ from measured ones.

Principal peaks in the range 10 to 90 degrees two-theta, most intense first:
- 2θ 34.61, d = 2.592 Å, rel. 100.0
- 2θ 27.22, d = 3.276 Å, rel. 59.9
- 2θ 32.30, d = 2.772 Å, rel. 59.4
- 2θ 20.95, d = 4.240 Å, rel. 36.8
- 2θ 56.13, d = 1.639 Å, rel. 31.2
- 2θ 68.98, d = 1.361 Å, rel. 29.0
- 2θ 51.44, d = 1.776 Å, rel. 28.8
- 2θ 24.31, d = 3.662 Å, rel. 27.8
- 2θ 51.33, d = 1.780 Å, rel. 20.3
- 2θ 44.58, d = 2.032 Å, rel. 18.7
- 2θ 49.70, d = 1.834 Å, rel. 18.7
- 2θ 40.83, d = 2.210 Å, rel. 18.3

Structure:
a = 7.3237 Å, b = 7.3237 Å, c = 4.2405 Å
α = 90.00°, β = 90.00°, γ = 90.00°
Fractional positions:
Sr (0.1869, 0.3131, 0.0000)
Sr (0.3131, 0.8131, 0.0000)
Sr (0.6869, 0.1869, 0.0000)
Sr (0.8131, 0.6869, 0.0000)
B (0.0000, 0.0000, 0.2100)
B (0.0000, 0.0000, 0.7900)
B (0.0359, 0.8274, 0.5000)
B (0.0854, 0.5854, 0.5000)
B (0.1726, 0.0359, 0.5000)
B (0.3274, 0.5359, 0.5000)
B (0.4146, 0.0854, 0.5000)
B (0.4641, 0.3274, 0.5000)
B (0.5000, 0.5000, 0.2100)
B (0.5000, 0.5000, 0.7900)
B (0.5359, 0.6726, 0.5000)
B (0.5854, 0.9146, 0.5000)
B (0.6726, 0.4641, 0.5000)
B (0.8274, 0.9641, 0.5000)
B (0.9146, 0.4146, 0.5000)
B (0.9641, 0.1726, 0.5000)


Structure and theoretical powder XRD pattern of CdHgCl4 (a PBE-relaxed structure; CuKα).
Peak positions follow from Bragg's law for the DFT cell and can differ from measured ones.

Principal peaks in the range 10 to 90 degrees two-theta, most intense first:
- 2θ 13.98, d = 6.334 Å, rel. 100.0
- 2θ 29.79, d = 2.999 Å, rel. 61.5
- 2θ 26.09, d = 3.416 Å, rel. 36.5
- 2θ 38.89, d = 2.316 Å, rel. 34.6
- 2θ 29.57, d = 3.021 Å, rel. 28.7
- 2θ 38.70, d = 2.326 Å, rel. 18.6
- 2θ 45.98, d = 1.974 Å, rel. 18.5
- 2θ 48.41, d = 1.880 Å, rel. 17.4
- 2θ 50.75, d = 1.799 Å, rel. 13.7
- 2θ 55.74, d = 1.649 Å, rel. 13.5
- 2θ 38.57, d = 2.334 Å, rel. 13.1
- 2θ 29.68, d = 3.010 Å, rel. 9.8

Structure:
a = 6.8438 Å, b = 3.9376 Å, c = 14.3467 Å
α = 90.00°, β = 118.00°, γ = 90.00°
Fractional positions:
Cd (0.0000, 0.0000, 0.0000)
Cd (0.0000, 0.5000, 0.5000)
Hg (0.5000, 0.0000, 0.5000)
Hg (0.5000, 0.5000, 0.0000)
Cl (0.0480, 0.0010, 0.3858)
Cl (0.0480, 0.4990, 0.8858)
Cl (0.4421, 0.5144, 0.6152)
Cl (0.4421, 0.9856, 0.1152)
Cl (0.5579, 0.0144, 0.8848)
Cl (0.5579, 0.4856, 0.3848)
Cl (0.9520, 0.5010, 0.1142)
Cl (0.9520, 0.9990, 0.6142)


Repeat the first record exactly.
Structure and theoretical powder XRD pattern of Ga4Cu (a PBE-relaxed structure; CuKα).
Peak positions follow from Bragg's law for the DFT cell and can differ from measured ones.

Principal peaks in the range 10 to 90 degrees two-theta, most intense first:
- 2θ 39.25, d = 2.295 Å, rel. 100.0
- 2θ 39.40, d = 2.287 Å, rel. 97.0
- 2θ 42.72, d = 2.117 Å, rel. 79.3
- 2θ 34.71, d = 2.584 Å, rel. 74.0
- 2θ 35.76, d = 2.511 Å, rel. 66.7
- 2θ 36.08, d = 2.489 Å, rel. 64.7
- 2θ 47.61, d = 1.910 Å, rel. 59.4
- 2θ 73.22, d = 1.293 Å, rel. 46.1
- 2θ 46.45, d = 1.955 Å, rel. 37.3
- 2θ 34.25, d = 2.618 Å, rel. 37.2
- 2θ 52.43, d = 1.745 Å, rel. 33.5
- 2θ 46.98, d = 1.934 Å, rel. 33.4

Structure:
a = 6.8839 Å, b = 6.8839 Å, c = 5.1686 Å
α = 111.76°, β = 111.76°, γ = 110.94°
Fractional positions:
Ga (0.0635, 0.2475, 0.1591)
Ga (0.1328, 0.4766, 0.8061)
Ga (0.2475, 0.0635, 0.6591)
Ga (0.4766, 0.1328, 0.3061)
Ga (0.5234, 0.8672, 0.6939)
Ga (0.7525, 0.9365, 0.3409)
Ga (0.8672, 0.5234, 0.1939)
Ga (0.9365, 0.7525, 0.8409)
Cu (0.4999, 0.5001, 0.2500)
Cu (0.5001, 0.4999, 0.7500)


Repeat the third record exactly.
Structure and theoretical powder XRD pattern of CdHgCl4 (a PBE-relaxed structure; CuKα).
Peak positions follow from Bragg's law for the DFT cell and can differ from measured ones.

Principal peaks in the range 10 to 90 degrees two-theta, most intense first:
- 2θ 13.98, d = 6.334 Å, rel. 100.0
- 2θ 29.79, d = 2.999 Å, rel. 61.5
- 2θ 26.09, d = 3.416 Å, rel. 36.5
- 2θ 38.89, d = 2.316 Å, rel. 34.6
- 2θ 29.57, d = 3.021 Å, rel. 28.7
- 2θ 38.70, d = 2.326 Å, rel. 18.6
- 2θ 45.98, d = 1.974 Å, rel. 18.5
- 2θ 48.41, d = 1.880 Å, rel. 17.4
- 2θ 50.75, d = 1.799 Å, rel. 13.7
- 2θ 55.74, d = 1.649 Å, rel. 13.5
- 2θ 38.57, d = 2.334 Å, rel. 13.1
- 2θ 29.68, d = 3.010 Å, rel. 9.8

Structure:
a = 6.8438 Å, b = 3.9376 Å, c = 14.3467 Å
α = 90.00°, β = 118.00°, γ = 90.00°
Fractional positions:
Cd (0.0000, 0.0000, 0.0000)
Cd (0.0000, 0.5000, 0.5000)
Hg (0.5000, 0.0000, 0.5000)
Hg (0.5000, 0.5000, 0.0000)
Cl (0.0480, 0.0010, 0.3858)
Cl (0.0480, 0.4990, 0.8858)
Cl (0.4421, 0.5144, 0.6152)
Cl (0.4421, 0.9856, 0.1152)
Cl (0.5579, 0.0144, 0.8848)
Cl (0.5579, 0.4856, 0.3848)
Cl (0.9520, 0.5010, 0.1142)
Cl (0.9520, 0.9990, 0.6142)